This entry pairs a crystal structure of AsRhAu2 with its calculated PXRD pattern. Radiation: λ = 1.5418 Å (Cu Kα). Structure: a structure optimized by DFT (PBE).

Largest 12 diffraction maxima, sorted by position, 2θ = 10–80°:
Position (°2θ)  Rel. int.  h k l
25.2  15  2 0 -1
29.4  16  2 0 1
35.1  50  2 0 -2
35.7  100  1 1 1
41.4  28  2 0 2
42.8  16  1 1 -2
46.3  61  3 1 -1
46.5  26  4 0 0
55.2  22  1 1 -3
71.8  21  5 1 1
75.6  16  2 2 2
79.2  16  4 2 0

Atomic structure:
```
data_AsRhAu2
_chemical_formula_sum 'As2 Rh2 Au4'
_cell_length_a 7.9268
_cell_length_b 3.0766
_cell_length_c 5.9516
_cell_angle_alpha 90.00
_cell_angle_beta 99.41
_cell_angle_gamma 90.00
_space_group_name_H-M_alt 'C 1 m 1'
_space_group_IT_number 8
loop_
_space_group_symop_operation_xyz
'x,y,z'
'x,-y,z'
'x+1/2,y+1/2,z'
'x+1/2,-y+1/2,z'
loop_
_atom_site_label
_atom_site_fract_x
_atom_site_fract_y
_atom_site_fract_z
As1 0.0000 0.0000 0.0000
Rh1 0.2288 0.5000 0.1480
Au1 0.2326 0.0000 0.7124
Au2 0.4790 0.0000 0.4358
```